# Mn2PbF7
Calculated PXRD pattern, Cu Kα X-rays. Input: a GGA+U-relaxed structure.
No peak broadening, texture or thermal motion is included.

Structural model:
abc: 3.677 3.677 18.202
angles: 90.00 90.00 90.00
Space group I4/mmm (No. 139)
Symmetry-distinct sites (fractional):
Mn  0.000  0.000  0.172 x4
Pb  0.000  0.000  0.500 x2
F  0.000  0.000  0.000 x2
F  0.000  0.500  0.115 x8
F  0.000  0.500  0.250 x4

Most intense lines, 10 to 90 degrees two-theta, most intense first:
d = 3.144 Å, 2θ 28.38, intensity 100; d = 1.974 Å, 2θ 45.97, intensity 48; d = 1.587 Å, 2θ 58.13, intensity 27; d = 3.604 Å, 2θ 24.70, intensity 26; d = 1.838 Å, 2θ 49.59, intensity 24; d = 2.500 Å, 2θ 35.93, intensity 23; d = 2.257 Å, 2θ 39.94, intensity 22; d = 1.772 Å, 2θ 51.58, intensity 19; d = 3.034 Å, 2θ 29.44, intensity 18; d = 2.600 Å, 2θ 34.50, intensity 16; d = 4.550 Å, 2θ 19.51, intensity 14; d = 1.276 Å, 2θ 74.35, intensity 13